# 1
LiMnH4S2O10: calculated X-ray diffraction stick pattern (Cu Kα X-rays), based on the GGA+U geometry in the Materials Project.
Kinematic intensities with the Lorentz-polarization factor, no thermal factor.

Structure:
Unit cell a=5.7661 b=7.0761 c=10.5160 alpha=98.96 beta=101.18 gamma=110.35
Space group P1 (No. 1)
Inequivalent atoms, fractional coordinates:
Li (0.0000, 0.0000, 0.0000) [1 per cell]
Li (0.0569, 0.0397, 0.5444) [1 per cell]
Mn (0.7278, 0.3247, 0.6880) [1 per cell]
Mn (0.7303, 0.2815, 0.1862) [1 per cell]
H (0.5544, 0.6030, 0.6426) [1 per cell]
H (0.6037, 0.8812, 0.1298) [1 per cell]
H (0.6134, 0.9493, 0.5648) [1 per cell]
H (0.6896, 0.9821, 0.7261) [1 per cell]
H (0.7846, 0.6204, 0.1430) [1 per cell]
H (0.8142, 0.6418, 0.3035) [1 per cell]
H (0.8594, 0.7080, 0.7262) [1 per cell]
H (0.8926, 0.9924, 0.2330) [1 per cell]
S (0.0697, 0.5422, 0.0175) [1 per cell]
S (0.0718, 0.5368, 0.5081) [1 per cell]
S (0.3863, 0.0738, 0.3685) [1 per cell]
S (0.3963, 0.0647, 0.8552) [1 per cell]
O (0.0107, 0.3860, 0.1074) [1 per cell]
O (0.0205, 0.4249, 0.6211) [1 per cell]
O (0.1042, 0.9544, 0.3395) [1 per cell]
O (0.1269, 0.9153, 0.8152) [1 per cell]
O (0.3435, 0.6687, 0.0623) [1 per cell]
O (0.3517, 0.6515, 0.5470) [1 per cell]
O (0.4180, 0.1940, 0.7489) [1 per cell]
O (0.4232, 0.1663, 0.2486) [1 per cell]
O (0.4401, 0.1969, 0.9887) [1 per cell]
O (0.4566, 0.2416, 0.4917) [1 per cell]
O (0.5377, 0.9467, 0.3873) [1 per cell]
O (0.5869, 0.9679, 0.8564) [1 per cell]
O (0.6924, 0.5915, 0.7143) [1 per cell]
O (0.7095, 0.5538, 0.2136) [1 per cell]
O (0.7480, 0.0384, 0.6490) [1 per cell]
O (0.7716, 0.0058, 0.1538) [1 per cell]
O (0.9154, 0.6722, 0.0301) [1 per cell]
O (0.9347, 0.6772, 0.4972) [1 per cell]
O (0.9840, 0.3693, 0.3844) [1 per cell]
O (0.9924, 0.4105, 0.8805) [1 per cell]

Most intense lines, 2θ from 10° to 90°, low angle first:
2θ/deg	I_rel	h k l
13.76	37	0 1 0
17.22	100	1 -1 0
25.05	46	0 1 2
26.27	28	1 -2 0
26.53	42	1 1 -2
27.84	41	1 0 2
29.12	13	0 2 -2
34.29	16	2 0 -2
35.19	19	0 1 -4
35.40	13	1 0 -4
40.53	12	2 1 -2
42.91	11	2 -3 0

---

# 2
LiMnH4S2O10: calculated X-ray diffraction stick pattern (Cu Kα X-rays), based on the GGA+U geometry in the Materials Project.
Kinematic intensities with the Lorentz-polarization factor, no thermal factor.

Structure:
Unit cell a=5.6382 b=7.4112 c=10.4356 alpha=101.53 beta=97.89 gamma=111.94
Space group P1 (No. 1)
Inequivalent atoms, fractional coordinates:
Li (0.0000, 0.0000, 0.0000) [1 per cell]
Li (0.1839, 0.0942, 0.5860) [1 per cell]
Mn (0.8367, 0.4127, 0.7152) [1 per cell]
Mn (0.8463, 0.3835, 0.2149) [1 per cell]
H (0.0015, 0.1007, 0.2563) [1 per cell]
H (0.6629, 0.6874, 0.6789) [1 per cell]
H (0.7138, 0.9878, 0.1539) [1 per cell]
H (0.7357, 0.0422, 0.5813) [1 per cell]
H (0.8230, 0.0772, 0.7401) [1 per cell]
H (0.8864, 0.7164, 0.1882) [1 per cell]
H (0.9068, 0.7312, 0.3463) [1 per cell]
H (0.9602, 0.7881, 0.7675) [1 per cell]
S (0.1886, 0.6414, 0.0438) [1 per cell]
S (0.2006, 0.6396, 0.5378) [1 per cell]
S (0.4808, 0.1649, 0.3967) [1 per cell]
S (0.5136, 0.1522, 0.8885) [1 per cell]
O (0.0401, 0.7696, 0.0677) [1 per cell]
O (0.0779, 0.7843, 0.5370) [1 per cell]
O (0.0856, 0.5008, 0.9064) [1 per cell]
O (0.0944, 0.4755, 0.4110) [1 per cell]
O (0.1441, 0.5397, 0.6529) [1 per cell]
O (0.1477, 0.5092, 0.1424) [1 per cell]
O (0.1893, 0.0618, 0.3726) [1 per cell]
O (0.2367, 0.0093, 0.8654) [1 per cell]
O (0.4703, 0.7615, 0.0694) [1 per cell]
O (0.4884, 0.7403, 0.5694) [1 per cell]
O (0.5172, 0.2559, 0.7732) [1 per cell]
O (0.5308, 0.2616, 0.2821) [1 per cell]
O (0.5672, 0.3256, 0.5279) [1 per cell]
O (0.5894, 0.3042, 0.0190) [1 per cell]
O (0.6125, 0.0299, 0.4027) [1 per cell]
O (0.6972, 0.0530, 0.8780) [1 per cell]
O (0.7862, 0.6756, 0.7536) [1 per cell]
O (0.8060, 0.6453, 0.2546) [1 per cell]
O (0.8789, 0.1313, 0.6629) [1 per cell]
O (0.8872, 0.1094, 0.1756) [1 per cell]

Most intense lines, 2θ from 10° to 90°, low angle first:
2θ/deg	I_rel	h k l
13.39	30	0 1 0
17.05	100	1 -1 0
25.06	8	1 -1 2
25.18	47	0 1 2
25.35	35	1 -2 0
26.97	49	1 1 -2
27.87	40	1 0 2
28.03	14	0 2 -2
34.92	23	0 1 -4
35.72	14	2 0 -2
41.71	24	2 -3 0
44.64	10	-1 3 2

---

# 3
LiMnHSO5: calculated X-ray diffraction stick pattern (Cu Kα X-rays), based on the GGA+U geometry in the Materials Project.
Kinematic intensities with the Lorentz-polarization factor, no thermal factor.

Structure:
Unit cell a=9.9779 b=5.5919 c=7.6776 alpha=90.00 beta=110.97 gamma=90.00
Space group P2_1/c (No. 14)
Inequivalent atoms, fractional coordinates:
Li (0.0857, 0.0611, 0.3118) [4 per cell]
Mn (0.4441, 0.2340, 0.3756) [4 per cell]
H (0.3307, 0.0007, 0.5971) [4 per cell]
S (0.2086, 0.5612, 0.5074) [4 per cell]
O (0.0958, 0.0802, 0.8636) [4 per cell]
O (0.1620, 0.6868, 0.0071) [4 per cell]
O (0.2370, 0.0481, 0.1951) [4 per cell]
O (0.3454, 0.5544, 0.4662) [4 per cell]
O (0.4270, 0.0707, 0.6279) [4 per cell]

Most intense lines, 2θ from 10° to 90°, low angle first:
2θ/deg	I_rel	h k l
20.14	72	0 1 1
24.55	36	2 1 -1
24.86	93	0 0 2
28.21	100	1 1 -2
28.75	36	3 0 0
29.60	53	0 1 2
30.61	60	3 0 -2
30.84	35	2 1 1
32.99	58	3 1 0
37.52	37	2 2 0
40.20	28	2 1 2
58.24	40	1 3 2

---

# 4
LiMnH4S2O10: calculated X-ray diffraction stick pattern (Cu Kα X-rays), based on the GGA+U geometry in the Materials Project.
Kinematic intensities with the Lorentz-polarization factor, no thermal factor.

Structure:
Unit cell a=5.3340 b=12.8449 c=5.5427 alpha=90.00 beta=100.46 gamma=90.00
Space group P2_1 (No. 4)
Inequivalent atoms, fractional coordinates:
Li (0.0105, 0.0000, 0.0825) [2 per cell]
Mn (0.2549, 0.3813, 0.5051) [2 per cell]
H (0.0734, 0.2369, 0.1869) [2 per cell]
H (0.2400, 0.5875, 0.5970) [2 per cell]
H (0.2583, 0.1823, 0.4122) [2 per cell]
H (0.4298, 0.5343, 0.8180) [2 per cell]
S (0.1814, 0.7646, 0.2715) [2 per cell]
S (0.3169, 0.9996, 0.7261) [2 per cell]
O (0.0644, 0.3323, 0.7480) [2 per cell]
O (0.1057, 0.9244, 0.7394) [2 per cell]
O (0.1380, 0.6981, 0.0536) [2 per cell]
O (0.2260, 0.7060, 0.5010) [2 per cell]
O (0.2277, 0.2487, 0.3186) [2 per cell]
O (0.2648, 0.0569, 0.4928) [2 per cell]
O (0.2663, 0.5213, 0.6980) [2 per cell]
O (0.3403, 0.0656, 0.9472) [2 per cell]
O (0.3879, 0.8420, 0.2648) [2 per cell]
O (0.4281, 0.4431, 0.2535) [2 per cell]

Most intense lines, 2θ from 10° to 90°, low angle first:
2θ/deg	I_rel	h k l
13.79	83	0 2 0
16.26	84	0 0 1
17.68	45	0 1 1
21.38	43	0 2 1
21.88	40	1 2 0
25.44	95	1 2 -1
26.51	100	0 3 1
26.88	92	1 3 0
29.21	57	1 2 1
29.88	34	1 3 -1
34.19	38	2 0 0
34.93	26	1 1 -2